(1)
# KRb5Hg2O
Calculated X-ray diffraction stick pattern, Cu Kα. Input: a cell relaxed with PBE.
Kinematic intensities with the Lorentz-polarization factor, no thermal factor.

Structure:
```
data_KRb5Hg2O
_chemical_formula_sum 'K2 Rb10 Hg4 O2'
_cell_length_a 8.522
_cell_length_b 8.522
_cell_length_c 11.774
_cell_angle_alpha 90.00
_cell_angle_beta 90.00
_cell_angle_gamma 90.00
_space_group_name_H-M_alt 'I 4 m m'
_space_group_IT_number 107
_space_group_name_Hall 'I 4 -2'
loop_
_atom_site_label
_atom_site_type_symbol
_atom_site_fract_x
_atom_site_fract_y
_atom_site_fract_z
K1 K 0.000 0.000 0.000
Rb1 Rb 0.000 0.000 0.546
Rb2 Rb 0.230 0.230 0.777
Hg1 Hg 0.000 0.500 0.026
O1 O 0.000 0.000 0.778
```

The 8 most intense peaks (10 to 80 degrees two-theta), sorted by position:
2θ (°)	I_rel	(hkl)
14.70	15	1 1 0
21.10	20	1 1 2
25.81	100	2 0 2
29.65	38	2 2 0
30.37	18	0 0 4
42.96	26	2 2 4
50.33	29	4 2 2
51.26	14	2 0 6

(2)
# La21Fe8Sn7C12
Calculated X-ray diffraction stick pattern, Cu Kα. Input: a cell relaxed with PBE.
Kinematic intensities with the Lorentz-polarization factor, no thermal factor.

Structure:
```
data_La21Fe8Sn7C12
_chemical_formula_sum 'La84 Fe32 Sn28 C48'
_cell_length_a 16.487
_cell_length_b 16.487
_cell_length_c 16.487
_cell_angle_alpha 90.00
_cell_angle_beta 90.00
_cell_angle_gamma 90.00
_space_group_name_H-M_alt 'F m -3 m'
_space_group_IT_number 225
_space_group_name_Hall '-F 4 2 3'
loop_
_atom_site_label
_atom_site_type_symbol
_atom_site_fract_x
_atom_site_fract_y
_atom_site_fract_z
La1 La 0.000 0.000 0.000
La2 La 0.000 0.170 0.330
La3 La 0.135 0.135 0.135
Fe1 Fe 0.196 0.196 0.304
Sn1 Sn 0.000 0.000 0.210
Sn2 Sn 0.000 0.000 0.500
C1 C 0.110 0.250 0.250
```

The 8 most intense peaks (10 to 80 degrees two-theta), sorted by position:
2θ (°)	I_rel	(hkl)
28.12	100	3 3 3
30.67	37	4 4 0
32.12	63	5 3 1
32.59	78	6 0 0
42.10	27	5 5 3
46.75	34	6 6 0
54.53	20	8 4 4
55.45	20	9 3 3